Record 1
The following is a computed powder XRD pattern of K2SnAs2S6. It was derived from a crystal structure in the Materials Project, relaxed with GGA-PBE, using copper Kα.

Peak list (6 most intense, 2θ from 10° to 90°, in order of rising 2θ)
| two_theta | I/Imax |
| --- | --- |
| 12.0 | 100 |
| 19.3 | 45 |
| 26.3 | 71 |
| 28.5 | 52 |
| 29.0 | 60 |
| 35.9 | 81 |

Structural model:
Cell lengths 6.7850, 6.7850, 7.3990 Å; angles 90.00, 90.00, 120.00 degrees
Element x y z (fractional)
K 0.3333 0.6667 0.1017
K 0.6667 0.3333 0.8983
Sn 0.0000 0.0000 0.5000
As 0.3333 0.6667 0.5660
As 0.6667 0.3333 0.4340
S 0.1093 0.3384 0.7218
S 0.2291 0.8907 0.7218
S 0.3384 0.2291 0.2782
S 0.6616 0.7709 0.7218
S 0.7709 0.1093 0.2782
S 0.8907 0.6616 0.2782


Record 2
The following is a computed powder XRD pattern of Cs2ZnI4. It was derived from a crystal structure in the Materials Project, relaxed with GGA-PBE, using copper Kα.

Peak list (6 most intense, 2θ from 10° to 90°, in order of rising 2θ)
| two_theta | I/Imax |
| --- | --- |
| 20.7 | 54 |
| 23.9 | 82 |
| 24.8 | 82 |
| 25.3 | 100 |
| 26.9 | 94 |
| 42.2 | 53 |

Structural model:
Cell lengths 11.1070, 8.5664, 14.8764 Å; angles 90.00, 90.00, 90.00 degrees
Element x y z (fractional)
Cs 0.0236 0.2500 0.1676
Cs 0.1316 0.7500 0.3964
Cs 0.3684 0.2500 0.8964
Cs 0.4764 0.7500 0.6676
Cs 0.5236 0.2500 0.3324
Cs 0.6316 0.7500 0.1036
Cs 0.8684 0.2500 0.6036
Cs 0.9764 0.7500 0.8324
Zn 0.2358 0.7500 0.0775
Zn 0.2642 0.2500 0.5775
Zn 0.7358 0.7500 0.4225
Zn 0.7642 0.2500 0.9225
I 0.0012 0.2500 0.9021
I 0.1735 0.5029 0.6541
I 0.1735 0.9971 0.6541
I 0.1890 0.2500 0.4089
I 0.3110 0.7500 0.9089
I 0.3265 0.0029 0.1541
I 0.3265 0.4971 0.1541
I 0.4988 0.7500 0.4021
I 0.5012 0.2500 0.5979
I 0.6735 0.5029 0.8459
I 0.6735 0.9971 0.8459
I 0.6890 0.2500 0.0911
I 0.8110 0.7500 0.5911
I 0.8265 0.0029 0.3459
I 0.8265 0.4971 0.3459
I 0.9988 0.7500 0.0979


Record 3
The following is a computed powder XRD pattern of ScBIr3. It was derived from a crystal structure in the Materials Project, relaxed with GGA-PBE, using copper Kα.

Peak list (6 most intense, 2θ from 10° to 90°, in order of rising 2θ)
| two_theta | I/Imax |
| --- | --- |
| 21.4 | 20 |
| 30.5 | 13 |
| 37.5 | 100 |
| 43.6 | 52 |
| 63.4 | 34 |
| 76.1 | 39 |

Structural model:
Cell lengths 4.1501, 4.1501, 4.1501 Å; angles 90.00, 90.00, 90.00 degrees
Element x y z (fractional)
Sc 0.0000 0.0000 0.0000
B 0.5000 0.5000 0.5000
Ir 0.0000 0.5000 0.5000
Ir 0.5000 0.0000 0.5000
Ir 0.5000 0.5000 0.0000


Record 4
The following is a computed powder XRD pattern of MnBe3. It was derived from a crystal structure in the Materials Project, relaxed with GGA-PBE, using copper Kα.

Peak list (6 most intense, 2θ from 10° to 90°, in order of rising 2θ)
| two_theta | I/Imax |
| --- | --- |
| 27.4 | 100 |
| 39.1 | 76 |
| 48.4 | 56 |
| 56.5 | 26 |
| 63.9 | 31 |
| 70.8 | 22 |

Structural model:
Cell lengths 3.2595, 3.2595, 3.2595 Å; angles 90.00, 90.00, 90.00 degrees
Element x y z (fractional)
Mn 0.0000 0.0000 0.0000
Be 0.0000 0.5000 0.5000
Be 0.5000 0.0000 0.5000
Be 0.5000 0.5000 0.0000


Record 5
The following is a computed powder XRD pattern of YWN3. It was derived from a crystal structure in the Materials Project, relaxed with GGA-PBE, using copper Kα.

Peak list (6 most intense, 2θ from 10° to 90°, in order of rising 2θ)
| two_theta | I/Imax |
| --- | --- |
| 17.3 | 90 |
| 29.4 | 100 |
| 34.1 | 48 |
| 34.2 | 57 |
| 34.6 | 52 |
| 48.0 | 44 |

Structural model:
Cell lengths 3.7637, 7.8483, 7.8483 Å; angles 139.19, 90.00, 90.00 degrees
Element x y z (fractional)
Y 0.2500 0.1707 0.8293
Y 0.7500 0.8293 0.1707
W 0.2500 0.3633 0.5404
W 0.7500 0.5404 0.3633
N 0.2500 0.0754 0.4694
N 0.2500 0.4160 0.3062
N 0.2500 0.6567 0.8918
N 0.7500 0.3062 0.4160
N 0.7500 0.4694 0.0754
N 0.7500 0.8918 0.6567


Record 6
The following is a computed powder XRD pattern of Eu3S2F4. It was derived from a crystal structure in the Materials Project, relaxed with GGA-PBE, using copper Kα.

Peak list (6 most intense, 2θ from 10° to 90°, in order of rising 2θ)
| two_theta | I/Imax |
| --- | --- |
| 26.2 | 100 |
| 31.8 | 39 |
| 42.4 | 51 |
| 45.6 | 26 |
| 47.7 | 23 |
| 53.3 | 29 |

Structural model:
Cell lengths 10.1685, 10.1685, 10.1685 Å; angles 157.42, 157.42, 32.14 degrees
Element x y z (fractional)
Eu 0.0000 0.0000 0.0000
Eu 0.3423 0.3423 0.0000
Eu 0.6577 0.6577 0.0000
S 0.1972 0.1972 0.0000
S 0.8028 0.8028 0.0000
F 0.0701 0.5701 0.5000
F 0.4299 0.9299 0.5000
F 0.5701 0.0701 0.5000
F 0.9299 0.4299 0.5000


Record 7
The following is a computed powder XRD pattern of Ba4LiMo2N7. It was derived from a crystal structure in the Materials Project, relaxed with GGA-PBE, using copper Kα.

Peak list (6 most intense, 2θ from 10° to 90°, in order of rising 2θ)
| two_theta | I/Imax |
| --- | --- |
| 26.5 | 28 |
| 27.2 | 17 |
| 29.2 | 100 |
| 31.4 | 14 |
| 31.9 | 12 |
| 45.1 | 15 |

Structural model:
Cell lengths 10.4651, 6.5553, 17.4672 Å; angles 90.00, 117.30, 90.00 degrees
Element x y z (fractional)
Ba 0.0000 0.0218 0.2500
Ba 0.0000 0.9782 0.7500
Ba 0.1981 0.1446 0.6211
Ba 0.1981 0.8554 0.1211
Ba 0.2386 0.2810 0.9844
Ba 0.2386 0.7190 0.4844
Ba 0.3486 0.2275 0.4278
Ba 0.3486 0.7725 0.9278
Ba 0.5000 0.3183 0.2500
Ba 0.5000 0.6817 0.7500
Ba 0.6514 0.2275 0.0722
Ba 0.6514 0.7725 0.5722
Ba 0.7614 0.2810 0.5156
Ba 0.7614 0.7190 0.0156
Ba 0.8019 0.1446 0.8789
Ba 0.8019 0.8554 0.3789
Li 0.1342 0.4601 0.7599
Li 0.1342 0.5399 0.2599
Li 0.8658 0.4601 0.7401
Li 0.8658 0.5399 0.2401
Mo 0.0178 0.3287 0.0971
Mo 0.0178 0.6713 0.5971
Mo 0.4508 0.2251 0.8451
Mo 0.4508 0.7749 0.3451
Mo 0.5492 0.2251 0.6549
Mo 0.5492 0.7749 0.1549
Mo 0.9822 0.3287 0.4029
Mo 0.9822 0.6713 0.9029
N 0.0000 0.5000 0.0000
N 0.0000 0.5000 0.5000
N 0.0696 0.4678 0.3474
N 0.0696 0.5322 0.8474
N 0.0754 0.0769 0.4351
N 0.0754 0.9231 0.9351
N 0.2080 0.2779 0.1724
N 0.2080 0.7221 0.6724
N 0.2535 0.1826 0.8048
N 0.2535 0.8174 0.3048
N 0.4445 0.0116 0.5835
N 0.4445 0.9884 0.0835
N 0.4840 0.4644 0.5918
N 0.4840 0.5356 0.0918
N 0.5000 0.2419 0.7500
N 0.5000 0.7581 0.2500
N 0.5160 0.4644 0.9082
N 0.5160 0.5356 0.4082
N 0.5555 0.0116 0.9165
N 0.5555 0.9884 0.4165
N 0.7465 0.1826 0.6952
N 0.7465 0.8174 0.1952
N 0.7920 0.2779 0.3276
N 0.7920 0.7221 0.8276
N 0.9246 0.0769 0.0649
N 0.9246 0.9231 0.5649
N 0.9304 0.4678 0.1526
N 0.9304 0.5322 0.6526


Record 8
The following is a computed powder XRD pattern of Na2CuPdF6. It was derived from a crystal structure in the Materials Project, relaxed with GGA-PBE, using copper Kα.

Peak list (6 most intense, 2θ from 10° to 90°, in order of rising 2θ)
| two_theta | I/Imax |
| --- | --- |
| 21.5 | 100 |
| 30.6 | 99 |
| 43.8 | 59 |
| 49.3 | 40 |
| 54.4 | 39 |
| 63.7 | 33 |

Structural model:
Cell lengths 5.8422, 5.8422, 5.8422 Å; angles 60.00, 60.00, 60.00 degrees
Element x y z (fractional)
Na 0.2500 0.2500 0.2500
Na 0.7500 0.7500 0.7500
Cu 0.0000 0.0000 0.0000
Pd 0.5000 0.5000 0.5000
F 0.2430 0.2430 0.7570
F 0.2430 0.7570 0.2430
F 0.2430 0.7570 0.7570
F 0.7570 0.2430 0.2430
F 0.7570 0.2430 0.7570
F 0.7570 0.7570 0.2430


Record 9
The following is a computed powder XRD pattern of CsMg6Fe. It was derived from a crystal structure in the Materials Project, relaxed with GGA-PBE, using copper Kα.

Peak list (6 most intense, 2θ from 10° to 90°, in order of rising 2θ)
| two_theta | I/Imax |
| --- | --- |
| 14.6 | 59 |
| 22.7 | 45 |
| 22.9 | 46 |
| 33.9 | 41 |
| 34.5 | 100 |
| 35.7 | 32 |

Structural model:
Cell lengths 5.0352, 7.1246, 7.1246 Å; angles 58.48, 90.00, 90.00 degrees
Element x y z (fractional)
Cs 0.0000 0.0000 0.0000
Mg 0.0000 0.0212 0.4631
Mg 0.0000 0.4631 0.0212
Mg 0.0000 0.4975 0.4975
Mg 0.5000 0.1741 0.5951
Mg 0.5000 0.5951 0.1741
Mg 0.5000 0.6627 0.6627
Fe 0.5000 0.2053 0.2053


Record 10
The following is a computed powder XRD pattern of CrSiNi. It was derived from a crystal structure in the Materials Project, relaxed with GGA-PBE, using copper Kα.

Peak list (6 most intense, 2θ from 10° to 90°, in order of rising 2θ)
| two_theta | I/Imax |
| --- | --- |
| 39.3 | 100 |
| 40.0 | 66 |
| 42.2 | 91 |
| 42.3 | 40 |
| 46.8 | 55 |
| 50.4 | 55 |

Structural model:
Cell lengths 5.7624, 3.6189, 6.9032 Å; angles 90.00, 90.00, 90.00 degrees
Element x y z (fractional)
Cr 0.0291 0.2500 0.1810
Cr 0.4709 0.7500 0.6810
Cr 0.5291 0.2500 0.3190
Cr 0.9709 0.7500 0.8190
Si 0.2442 0.7500 0.3746
Si 0.2558 0.2500 0.8746
Si 0.7442 0.7500 0.1254
Si 0.7558 0.2500 0.6254
Ni 0.1470 0.2500 0.5587
Ni 0.3530 0.7500 0.0587
Ni 0.6470 0.2500 0.9413
Ni 0.8530 0.7500 0.4413


Record 11
The following is a computed powder XRD pattern of YMnSn2. It was derived from a crystal structure in the Materials Project, relaxed with GGA-PBE, using copper Kα.

Peak list (6 most intense, 2θ from 10° to 90°, in order of rising 2θ)
| two_theta | I/Imax |
| --- | --- |
| 32.4 | 49 |
| 33.4 | 76 |
| 34.8 | 75 |
| 35.1 | 39 |
| 35.2 | 100 |
| 37.2 | 53 |

Structural model:
Cell lengths 10.4860, 11.4621, 9.0187 Å; angles 90.00, 90.00, 90.00 degrees
Element x y z (fractional)
Y 0.1645 0.1796 0.0000
Y 0.1714 0.4524 0.2440
Y 0.1714 0.4524 0.7560
Y 0.3286 0.9524 0.2440
Y 0.3286 0.9524 0.7560
Y 0.3355 0.6796 0.0000
Y 0.6645 0.3204 0.0000
Y 0.6714 0.0476 0.2440
Y 0.6714 0.0476 0.7560
Y 0.8286 0.5476 0.2440
Y 0.8286 0.5476 0.7560
Y 0.8355 0.8204 0.0000
Mn 0.0000 0.0000 0.2430
Mn 0.0000 0.0000 0.7570
Mn 0.0880 0.7545 0.2471
Mn 0.0880 0.7545 0.7529
Mn 0.4120 0.2545 0.2471
Mn 0.4120 0.2545 0.7529
Mn 0.5000 0.5000 0.2430
Mn 0.5000 0.5000 0.7570
Mn 0.5880 0.7455 0.2471
Mn 0.5880 0.7455 0.7529
Mn 0.9120 0.2455 0.2471
Mn 0.9120 0.2455 0.7529
Sn 0.0409 0.6222 0.0000
Sn 0.0448 0.6246 0.5000
Sn 0.1239 0.9051 0.5000
Sn 0.1285 0.8993 0.0000
Sn 0.1620 0.1810 0.3386
Sn 0.1620 0.1810 0.6614
Sn 0.3380 0.6810 0.3386
Sn 0.3380 0.6810 0.6614
Sn 0.3715 0.3993 0.0000
Sn 0.3761 0.4051 0.5000
Sn 0.4552 0.1246 0.5000
Sn 0.4591 0.1222 0.0000
Sn 0.5409 0.8778 0.0000
Sn 0.5448 0.8754 0.5000
Sn 0.6239 0.5949 0.5000
Sn 0.6285 0.6007 0.0000
Sn 0.6620 0.3190 0.3386
Sn 0.6620 0.3190 0.6614
Sn 0.8380 0.8190 0.3386
Sn 0.8380 0.8190 0.6614
Sn 0.8715 0.1007 0.0000
Sn 0.8761 0.0949 0.5000
Sn 0.9552 0.3754 0.5000
Sn 0.9591 0.3778 0.0000